The following is a calculated PXRD pattern of K2FeCuC6N6. It was derived from a GGA-PBE-relaxed structure, using CuKα.
Peak positions follow from Bragg's law for the DFT cell and can differ from measured ones.

Structural model:
Cell lengths 6.8740, 6.9793, 7.0190 Å; angles 118.45, 117.77, 91.02 degrees
Space group P-1 (No. 2)
One atom of each set of equivalent atoms:
K 0.2253 0.2265 0.4728 (multiplicity 2)
Fe 0.5000 0.0000 0.0000 (multiplicity 1)
Cu 0.0000 0.5000 0.0000 (multiplicity 1)
C 0.2791 0.7692 0.9193 (multiplicity 2)
C 0.3121 0.1866 0.0074 (multiplicity 2)
C 0.3693 0.8757 0.6485 (multiplicity 2)
N 0.1375 0.6175 0.8589 (multiplicity 2)
N 0.1951 0.3077 0.0139 (multiplicity 2)
N 0.2922 0.8027 0.4291 (multiplicity 2)

Largest 10 diffraction maxima, most intense first, 10 to 90 degrees two-theta:
2θ/deg	d [Å]	intensity	hkl
24.80	3.590	100.0	1 1 0
25.48	3.496	86.3	1 1 -2
36.37	2.470	45.3	2 -2 0
34.53	2.598	40.5	0 0 2
17.95	4.941	38.8	1 -1 0
24.90	3.575	36.9	-1 1 1
25.93	3.436	33.7	2 0 -1
17.07	5.196	33.3	0 0 1
37.06	2.426	29.2	2 2 -2
18.28	4.852	25.5	1 1 -1

***

The following is a calculated PXRD pattern of Rb2FeCuC6N6. It was derived from a GGA-PBE-relaxed structure, using CuKα.
Peak positions follow from Bragg's law for the DFT cell and can differ from measured ones.

Structural model:
Cell lengths 10.1982, 10.1982, 10.1982 Å; angles 90.00, 90.00, 90.00 degrees
Space group Fm-3m (No. 225)
One atom of each set of equivalent atoms:
Rb 0.2500 0.2500 0.2500 (multiplicity 8)
Fe 0.0000 0.0000 0.0000 (multiplicity 4)
Cu 0.0000 0.0000 0.5000 (multiplicity 4)
C 0.0000 0.0000 0.1824 (multiplicity 24)
N 0.0000 0.0000 0.2980 (multiplicity 24)

Largest 10 diffraction maxima, most intense first, 10 to 90 degrees two-theta:
2θ/deg	d [Å]	intensity	hkl
24.69	3.606	100.0	2 2 0
35.20	2.550	42.6	4 0 0
43.47	2.082	32.8	4 2 2
57.12	1.612	26.5	6 2 0
68.90	1.363	24.0	6 4 2
50.63	1.803	22.2	4 4 0
30.36	2.944	13.1	2 2 2
79.80	1.202	10.4	6 6 0
85.08	1.140	7.4	8 4 0
63.17	1.472	5.9	4 4 4

***

The following is a calculated PXRD pattern of Sc4CuGeC2. It was derived from a GGA-PBE-relaxed structure, using CuKα.
Peak positions follow from Bragg's law for the DFT cell and can differ from measured ones.

Structural model:
Cell lengths 3.3401, 3.3401, 13.5023 Å; angles 90.00, 90.00, 120.00 degrees
Space group P-6m2 (No. 187)
One atom of each set of equivalent atoms:
Sc 0.0000 0.0000 0.1548 (multiplicity 2)
Sc 0.3333 0.6667 0.3362 (multiplicity 2)
Cu 0.3333 0.6667 0.0000 (multiplicity 1)
Ge 0.0000 0.0000 0.5000 (multiplicity 1)
C 0.6667 0.3333 0.2422 (multiplicity 2)

Largest 10 diffraction maxima, most intense first, 10 to 90 degrees two-theta:
2θ/deg	d [Å]	intensity	hkl
36.94	2.433	100.0	1 0 3
54.98	1.670	21.9	1 1 0
30.91	2.893	20.8	1 0 0
70.18	1.341	15.2	1 1 6
40.07	2.250	14.7	0 0 6
68.09	1.377	14.5	2 0 3
51.45	1.776	14.2	1 0 6
70.74	1.332	11.5	1 0 9
33.71	2.659	5.6	1 0 2
45.98	1.974	4.9	1 0 5

***

The following is a calculated PXRD pattern of CuH3C2IN2. It was derived from a GGA-PBE-relaxed structure, using CuKα.
Peak positions follow from Bragg's law for the DFT cell and can differ from measured ones.

Structural model:
Cell lengths 4.0785, 16.2275, 7.2994 Å; angles 90.00, 101.19, 90.00 degrees
Space group P2_1 (No. 4)
One atom of each set of equivalent atoms:
Cu 0.1334 0.0000 0.4540 (multiplicity 2)
Cu 0.2087 0.3644 0.5456 (multiplicity 2)
H 0.0402 0.5335 0.1851 (multiplicity 2)
H 0.0706 0.3656 0.8669 (multiplicity 2)
H 0.0840 0.8072 0.9670 (multiplicity 2)
H 0.1205 0.6553 0.9886 (multiplicity 2)
H 0.3633 0.1348 0.3333 (multiplicity 2)
H 0.3945 0.2420 0.3625 (multiplicity 2)
C 0.0153 0.0959 0.7737 (multiplicity 2)
C 0.0275 0.6625 0.1178 (multiplicity 2)
C 0.0516 0.2411 0.8186 (multiplicity 2)
C 0.1946 0.1796 0.5576 (multiplicity 2)
I 0.3648 0.8830 0.6950 (multiplicity 2)
I 0.4363 0.4907 0.7796 (multiplicity 2)
N 0.0190 0.3092 0.9167 (multiplicity 2)
N 0.1259 0.1025 0.6111 (multiplicity 2)
N 0.1636 0.2496 0.6555 (multiplicity 2)
N 0.2898 0.1874 0.3914 (multiplicity 2)

Largest 10 diffraction maxima, most intense first, 10 to 90 degrees two-theta:
2θ/deg	d [Å]	intensity	hkl
10.90	8.114	100.0	0 2 0
20.58	4.316	49.1	0 3 1
12.36	7.161	48.5	0 0 1
30.23	2.956	32.4	0 5 1
28.12	3.173	19.7	1 1 1
24.82	3.587	19.0	1 2 0
32.10	2.789	17.3	1 2 -2
30.09	2.970	17.3	1 0 -2
32.24	2.777	16.7	1 3 1
44.64	2.030	16.4	0 8 0

***

The following is a calculated PXRD pattern of Cu2H6CI3N. It was derived from a GGA-PBE-relaxed structure, using CuKα.
Peak positions follow from Bragg's law for the DFT cell and can differ from measured ones.

Structural model:
Cell lengths 8.9943, 5.7427, 9.1691 Å; angles 90.00, 113.12, 90.00 degrees
Space group P2_1/m (No. 11)
One atom of each set of equivalent atoms:
Cu 0.1795 0.0106 0.1368 (multiplicity 4)
H 0.1221 0.0940 0.5565 (multiplicity 4)
H 0.1497 0.2500 0.7355 (multiplicity 2)
H 0.3786 0.2500 0.5707 (multiplicity 2)
H 0.4062 0.1035 0.7365 (multiplicity 4)
C 0.1728 0.2500 0.6269 (multiplicity 2)
I 0.0760 0.7500 0.8684 (multiplicity 2)
I 0.2782 0.7500 0.3930 (multiplicity 2)
I 0.4189 0.2500 0.1112 (multiplicity 2)
N 0.3503 0.2500 0.6699 (multiplicity 2)

Largest 10 diffraction maxima, most intense first, 10 to 90 degrees two-theta:
2θ/deg	d [Å]	intensity	hkl
26.22	3.399	100.0	0 1 2
25.24	3.528	82.9	2 1 -1
11.68	7.577	69.8	1 0 -1
10.49	8.433	54.6	0 0 1
42.02	2.150	42.1	2 2 1
44.26	2.047	32.5	2 2 -3
42.90	2.108	23.3	0 0 4
39.37	2.288	18.8	2 2 -2
51.97	1.760	18.7	2 3 -1
40.34	2.236	16.6	4 0 -2

***

The following is a calculated PXRD pattern of CuH6C6IN. It was derived from a GGA-PBE-relaxed structure, using CuKα.
Peak positions follow from Bragg's law for the DFT cell and can differ from measured ones.

Structural model:
Cell lengths 4.1155, 9.0167, 10.2250 Å; angles 101.67, 96.24, 98.25 degrees
Space group P-1 (No. 2)
One atom of each set of equivalent atoms:
Cu 0.2498 0.0201 0.4148 (multiplicity 2)
H 0.0173 0.4691 0.6609 (multiplicity 2)
H 0.1156 0.3338 0.4689 (multiplicity 2)
H 0.1336 0.6268 0.1281 (multiplicity 2)
H 0.1794 0.2271 0.9829 (multiplicity 2)
H 0.2761 0.4688 0.9130 (multiplicity 2)
H 0.3054 0.0455 0.1270 (multiplicity 2)
C 0.0193 0.4841 0.9259 (multiplicity 2)
C 0.0524 0.4238 0.2883 (multiplicity 2)
C 0.0658 0.3960 0.1491 (multiplicity 2)
C 0.1254 0.3158 0.3607 (multiplicity 2)
C 0.1594 0.2573 0.0905 (multiplicity 2)
C 0.2306 0.1545 0.1704 (multiplicity 2)
I 0.3423 0.1639 0.6716 (multiplicity 2)
N 0.2131 0.1814 0.3036 (multiplicity 2)

Largest 10 diffraction maxima, most intense first, 10 to 90 degrees two-theta:
2θ/deg	d [Å]	intensity	hkl
11.96	7.402	100.0	0 1 -1
10.17	8.702	73.8	0 1 0
24.06	3.698	45.2	0 2 -2
25.89	3.442	41.2	1 1 0
20.39	4.355	19.9	0 2 -1
27.49	3.245	18.0	1 -2 0
41.26	2.188	16.6	1 2 2
26.99	3.304	14.2	0 0 3
39.91	2.259	14.1	-1 2 3
37.59	2.393	13.8	1 0 3